(1)
For Li3Mn2O4, DFT lattice parameters and positions (PBE+U) gives the computed XRD peak list in this record (copper Kα).

Main lines, most intense first (15° ≤ 2θ ≤ 90°):
- 17.6°, I = 100
- 43.5°, I = 66
- 37.1°, I = 55
- 35.4°, I = 40
- 58.5°, I = 40
- 31.6°, I = 40
- 35.7°, I = 24
- 63.2°, I = 20
- 44.4°, I = 15
- 58.6°, I = 13

Crystal structure
a b c (Å): 5.8812 5.8812 6.3778
angles (deg): 117.35 117.35 90.01
Sites, in units of the cell vectors:
Li 0.0000 0.0000 0.0000
Li 0.0000 0.0000 0.5000
Li 0.0000 0.5000 0.5000
Li 0.1271 0.8729 0.7500
Li 0.5000 0.0000 0.0000
Li 0.8729 0.1271 0.2500
Mn 0.0000 0.5000 0.0000
Mn 0.5000 0.0000 0.5000
Mn 0.5000 0.5000 0.0000
Mn 0.5000 0.5000 0.5000
O 0.2436 0.2469 0.9793
O 0.2464 0.7356 0.9869
O 0.2469 0.2436 0.4793
O 0.2644 0.7536 0.5131
O 0.7356 0.2464 0.4869
O 0.7531 0.7564 0.5207
O 0.7536 0.2644 0.0131
O 0.7564 0.7531 0.0207

(2)
For Li4Mn3O7, DFT lattice parameters and positions (PBE+U) gives the computed XRD peak list in this record (copper Kα).

Main lines, most intense first (15° ≤ 2θ ≤ 90°):
- 18.3°, I = 100
- 44.3°, I = 56
- 41.1°, I = 35
- 34.2°, I = 19
- 36.2°, I = 12
- 36.5°, I = 12
- 62.2°, I = 8
- 61.6°, I = 8
- 61.8°, I = 8
- 62.4°, I = 8

Crystal structure
a b c (Å): 2.9928 8.1847 10.7344
angles (deg): 78.82 85.91 88.98
Sites, in units of the cell vectors:
Li 0.0000 0.0000 0.0000
Li 0.0000 0.5000 0.0000
Li 0.1320 0.0684 0.7235
Li 0.2811 0.6438 0.4316
Li 0.4222 0.2003 0.1420
Li 0.5778 0.7997 0.8580
Li 0.7189 0.3562 0.5684
Li 0.8680 0.9316 0.2765
Mn 0.1338 0.5699 0.7184
Mn 0.2863 0.1426 0.4273
Mn 0.4356 0.7252 0.1380
Mn 0.5644 0.2748 0.8620
Mn 0.7137 0.8574 0.5727
Mn 0.8662 0.4301 0.2816
O 0.0321 0.2546 0.9808
O 0.1114 0.3252 0.7312
O 0.1121 0.8119 0.7128
O 0.2586 0.3862 0.4243
O 0.3168 0.9000 0.4343
O 0.4197 0.9457 0.1461
O 0.4615 0.4754 0.1476
O 0.5385 0.5246 0.8524
O 0.5803 0.0543 0.8539
O 0.6832 0.1000 0.5657
O 0.7414 0.6138 0.5757
O 0.8879 0.1881 0.2872
O 0.8886 0.6748 0.2688
O 0.9679 0.7454 0.0192

(3)
For Li4Mn3O7, DFT lattice parameters and positions (PBE+U) gives the computed XRD peak list in this record (copper Kα).

Main lines, most intense first (15° ≤ 2θ ≤ 90°):
- 18.3°, I = 100
- 41.2°, I = 35
- 44.1°, I = 28
- 44.3°, I = 28
- 36.2°, I = 23
- 34.2°, I = 18
- 61.9°, I = 9
- 61.7°, I = 9
- 61.9°, I = 8
- 62.4°, I = 8

Crystal structure
a b c (Å): 5.0803 7.6604 7.8349
angles (deg): 62.66 73.30 77.42
Sites, in units of the cell vectors:
Li 0.0000 0.0000 0.0000
Li 0.0037 0.1444 0.5691
Li 0.0056 0.5705 0.2794
Li 0.0110 0.7074 0.8641
Li 0.5000 0.5000 0.0000
Li 0.9890 0.2926 0.1359
Li 0.9944 0.4295 0.7206
Li 0.9963 0.8556 0.4309
Mn 0.4903 0.7825 0.1450
Mn 0.4958 0.6386 0.5789
Mn 0.5000 0.0793 0.2795
Mn 0.5000 0.9207 0.7205
Mn 0.5042 0.3614 0.4211
Mn 0.5097 0.2175 0.8550
O 0.2554 0.7567 0.0100
O 0.2633 0.0278 0.1539
O 0.2685 0.3109 0.2998
O 0.2680 0.8727 0.5868
O 0.2685 0.5899 0.4437
O 0.2850 0.4688 0.8310
O 0.2969 0.1847 0.6914
O 0.7031 0.8153 0.3086
O 0.7150 0.5312 0.1690
O 0.7315 0.4101 0.5563
O 0.7320 0.1273 0.4132
O 0.7315 0.6891 0.7002
O 0.7367 0.9722 0.8461
O 0.7446 0.2433 0.9900

(4)
For Li4Mn3O7, DFT lattice parameters and positions (PBE+U) gives the computed XRD peak list in this record (copper Kα).

Main lines, most intense first (15° ≤ 2θ ≤ 90°):
- 18.3°, I = 100
- 40.7°, I = 34
- 44.2°, I = 27
- 44.4°, I = 27
- 34.0°, I = 16
- 61.9°, I = 15
- 36.4°, I = 11
- 36.2°, I = 11
- 61.4°, I = 8
- 61.7°, I = 8

Crystal structure
a b c (Å): 5.0813 6.9448 7.7275
angles (deg): 83.24 75.99 79.19
Sites, in units of the cell vectors:
Li 0.0000 0.0000 0.0000
Li 0.0676 0.8600 0.3488
Li 0.2049 0.5646 0.0700
Li 0.3364 0.2619 0.7869
Li 0.5000 0.0000 0.5000
Li 0.6636 0.7381 0.2131
Li 0.7951 0.4354 0.9300
Li 0.9324 0.1400 0.6512
Mn 0.1446 0.7282 0.7202
Mn 0.2842 0.4271 0.4267
Mn 0.4299 0.1309 0.1400
Mn 0.5701 0.8691 0.8600
Mn 0.7158 0.5729 0.5733
Mn 0.8554 0.2718 0.2798
O 0.0284 0.4277 0.6648
O 0.1116 0.2825 0.0510
O 0.1726 0.1400 0.3737
O 0.2735 0.9953 0.7570
O 0.3467 0.8803 0.0995
O 0.3989 0.7059 0.4821
O 0.4734 0.6098 0.8186
O 0.5266 0.3902 0.1814
O 0.6011 0.2941 0.5179
O 0.6533 0.1197 0.9005
O 0.7265 0.0047 0.2430
O 0.8274 0.8600 0.6263
O 0.8884 0.7175 0.9490
O 0.9716 0.5723 0.3352

(5)
For Li4MnO3, DFT lattice parameters and positions (PBE+U) gives the computed XRD peak list in this record (copper Kα).

Main lines, most intense first (15° ≤ 2θ ≤ 90°):
- 27.4°, I = 100
- 22.2°, I = 81
- 31.6°, I = 72
- 18.1°, I = 62
- 26.0°, I = 58
- 19.6°, I = 50
- 28.1°, I = 45
- 31.3°, I = 39
- 39.5°, I = 39
- 38.0°, I = 32

Crystal structure
a b c (Å): 5.0983 5.8204 6.8125
angles (deg): 108.76 90.16 115.83
Sites, in units of the cell vectors:
Li 0.0000 0.0000 0.0000
Li 0.0398 0.4869 0.1116
Li 0.1035 0.3498 0.4090
Li 0.2924 0.9996 0.5004
Li 0.5382 0.3481 0.9076
Li 0.5925 0.2100 0.2187
Li 0.7389 0.4876 0.6107
Li 0.9098 0.2091 0.7181
Mn 0.3616 0.7289 0.8229
Mn 0.6608 0.7289 0.3155
O 0.3208 0.3549 0.6608
O 0.3255 0.3536 0.1603
O 0.6868 0.0950 0.4371
O 0.7009 0.0960 0.9370
O 0.9563 0.6351 0.9077
O 0.9702 0.6350 0.4070

(6)
For Li4Mn3O7, DFT lattice parameters and positions (PBE+U) gives the computed XRD peak list in this record (copper Kα).

Main lines, most intense first (15° ≤ 2θ ≤ 90°):
- 18.3°, I = 100
- 40.7°, I = 35
- 44.1°, I = 28
- 44.2°, I = 28
- 36.2°, I = 24
- 33.9°, I = 18
- 61.5°, I = 16
- 61.3°, I = 8
- 62.0°, I = 8
- 64.6°, I = 7

Crystal structure
a b c (Å): 6.0025 6.5496 7.7752
angles (deg): 65.97 70.87 75.28
Sites, in units of the cell vectors:
Li 0.0000 0.0000 0.0000
Li 0.0682 0.1388 0.2735
Li 0.1965 0.4156 0.8748
Li 0.3574 0.7116 0.4289
Li 0.5000 0.0000 0.0000
Li 0.6426 0.2884 0.5711
Li 0.8035 0.5844 0.1252
Li 0.9318 0.8612 0.7265
Mn 0.1372 0.2824 0.5772
Mn 0.2755 0.5694 0.1429
Mn 0.4206 0.8598 0.7207
Mn 0.5794 0.1402 0.2793
Mn 0.7245 0.4306 0.8571
Mn 0.8628 0.7176 0.4228
O 0.0440 0.5674 0.6224
O 0.1219 0.7028 0.9373
O 0.1505 0.8271 0.2324
O 0.2407 0.0060 0.5227
O 0.3252 0.1481 0.7663
O 0.3950 0.2817 0.0838
O 0.4273 0.4039 0.3678
O 0.5727 0.5961 0.6322
O 0.6050 0.7183 0.9162
O 0.6748 0.8519 0.2337
O 0.7593 0.9940 0.4773
O 0.8495 0.1729 0.7676
O 0.8781 0.2972 0.0627
O 0.9560 0.4326 0.3776

(7)
For Li4Mn3O7, DFT lattice parameters and positions (PBE+U) gives the computed XRD peak list in this record (copper Kα).

Main lines, most intense first (15° ≤ 2θ ≤ 90°):
- 18.3°, I = 100
- 44.0°, I = 55
- 41.0°, I = 32
- 36.1°, I = 23
- 34.0°, I = 17
- 62.0°, I = 16
- 61.4°, I = 15
- 58.0°, I = 9
- 46.9°, I = 9
- 64.6°, I = 7

Crystal structure
a b c (Å): 10.5893 10.5893 8.8104
angles (deg): 101.30 101.30 15.66
Sites, in units of the cell vectors:
Li 0.0000 0.0000 0.0000
Li 0.0000 0.0000 0.5000
Li 0.1387 0.1387 0.5754
Li 0.2845 0.2845 0.1477
Li 0.4301 0.4301 0.6801
Li 0.5699 0.5699 0.3199
Li 0.7155 0.7155 0.8523
Li 0.8613 0.8613 0.4246
Mn 0.1407 0.1407 0.0609
Mn 0.2890 0.2890 0.6425
Mn 0.4307 0.4307 0.2344
Mn 0.5693 0.5693 0.7656
Mn 0.7110 0.7110 0.3575
Mn 0.8593 0.8593 0.9391
O 0.0060 0.0060 0.7512
O 0.1341 0.1341 0.8072
O 0.1452 0.1452 0.3259
O 0.2757 0.2757 0.3815
O 0.2944 0.2944 0.9057
O 0.4244 0.4244 0.9891
O 0.4287 0.4287 0.4417
O 0.5713 0.5713 0.5583
O 0.5756 0.5756 0.0109
O 0.7056 0.7056 0.0943
O 0.7243 0.7243 0.6185
O 0.8548 0.8548 0.6741
O 0.8659 0.8659 0.1928
O 0.9940 0.9940 0.2488

What did the second record say?
For Li4Mn3O7, DFT lattice parameters and positions (PBE+U) gives the computed XRD peak list in this record (copper Kα).

Main lines, most intense first (15° ≤ 2θ ≤ 90°):
- 18.3°, I = 100
- 44.3°, I = 56
- 41.1°, I = 35
- 34.2°, I = 19
- 36.2°, I = 12
- 36.5°, I = 12
- 62.2°, I = 8
- 61.6°, I = 8
- 61.8°, I = 8
- 62.4°, I = 8

Crystal structure
a b c (Å): 2.9928 8.1847 10.7344
angles (deg): 78.82 85.91 88.98
Sites, in units of the cell vectors:
Li 0.0000 0.0000 0.0000
Li 0.0000 0.5000 0.0000
Li 0.1320 0.0684 0.7235
Li 0.2811 0.6438 0.4316
Li 0.4222 0.2003 0.1420
Li 0.5778 0.7997 0.8580
Li 0.7189 0.3562 0.5684
Li 0.8680 0.9316 0.2765
Mn 0.1338 0.5699 0.7184
Mn 0.2863 0.1426 0.4273
Mn 0.4356 0.7252 0.1380
Mn 0.5644 0.2748 0.8620
Mn 0.7137 0.8574 0.5727
Mn 0.8662 0.4301 0.2816
O 0.0321 0.2546 0.9808
O 0.1114 0.3252 0.7312
O 0.1121 0.8119 0.7128
O 0.2586 0.3862 0.4243
O 0.3168 0.9000 0.4343
O 0.4197 0.9457 0.1461
O 0.4615 0.4754 0.1476
O 0.5385 0.5246 0.8524
O 0.5803 0.0543 0.8539
O 0.6832 0.1000 0.5657
O 0.7414 0.6138 0.5757
O 0.8879 0.1881 0.2872
O 0.8886 0.6748 0.2688
O 0.9679 0.7454 0.0192